# 1
Diffraction record for Pr2Tc2C3. The XRD peak list is calculated, not measured: it uses a PBE-relaxed structure and copper Kα.
Intensities are scaled so that the largest is 100.

abc: 12.0888 3.4567 5.9082
angles: 90.00 117.17 90.00
Positions (direct):
Pr  0.1053  0.0000  0.3118
Pr  0.3947  0.5000  0.6882
Pr  0.6053  0.5000  0.3118
Pr  0.8947  0.0000  0.6882
Tc  0.1624  0.5000  0.8183
Tc  0.3376  0.0000  0.1817
Tc  0.6624  0.0000  0.8183
Tc  0.8376  0.5000  0.1817
C  0.0000  0.5000  0.5000
C  0.2488  0.0000  0.7798
C  0.2512  0.5000  0.2202
C  0.5000  0.0000  0.5000
C  0.7488  0.5000  0.7798
C  0.7512  0.0000  0.2202

The 10 most intense peaks (10° ≤ 2θ ≤ 80°), in order of rising 2θ:
d/Å	I_rel
3.016	30.6
2.983	19.5
2.952	24.4
2.689	26.0
2.629	100.0
2.589	71.0
2.549	15.1
1.826	19.5
1.728	16.0
1.710	19.9

# 2
Diffraction record for BaSmZnSb2. The XRD peak list is calculated, not measured: it uses a PBE-relaxed structure and copper Kα.
Intensities are scaled so that the largest is 100.

abc: 9.5906 9.5906 7.2223
angles: 90.00 90.00 151.52
Positions (direct):
Ba  0.2034  0.7966  0.5000
Ba  0.7966  0.2034  0.0000
Sm  0.0097  0.9903  0.2317
Sm  0.9903  0.0097  0.7317
Zn  0.4097  0.5903  0.3830
Zn  0.5903  0.4097  0.8830
Sb  0.1525  0.8475  0.9847
Sb  0.4338  0.5662  0.9977
Sb  0.5662  0.4338  0.4977
Sb  0.8475  0.1525  0.4847

The 10 most intense peaks (10° ≤ 2θ ≤ 80°), in order of rising 2θ:
d/Å	I_rel
3.611	21.9
3.366	27.5
3.331	45.8
2.921	72.4
2.849	51.2
2.834	24.8
2.603	100.0
2.359	41.9
2.027	20.7
1.817	27.1

# 3
Diffraction record for Li2GdO4. The XRD peak list is calculated, not measured: it uses a PBE-relaxed structure and copper Kα.
Intensities are scaled so that the largest is 100.

abc: 6.1849 6.1849 6.1849
angles: 60.00 60.00 60.00
Positions (direct):
Li  0.0000  0.0000  0.0000
Li  0.0000  0.0000  0.5000
Li  0.0000  0.5000  0.0000
Li  0.5000  0.0000  0.0000
Gd  0.3750  0.3750  0.3750
Gd  0.6250  0.6250  0.6250
O  0.2030  0.7657  0.7657
O  0.2343  0.2343  0.2343
O  0.2343  0.2343  0.7970
O  0.2343  0.7970  0.2343
O  0.7657  0.2030  0.7657
O  0.7657  0.7657  0.2030
O  0.7657  0.7657  0.7657
O  0.7970  0.2343  0.2343

The 10 most intense peaks (10° ≤ 2θ ≤ 80°), in order of rising 2θ:
d/Å	I_rel
5.050	76.8
3.092	100.0
2.637	64.8
2.007	33.3
1.785	38.7
1.683	27.9
1.546	22.9
1.478	17.0
1.383	15.9
1.225	9.8

# 4
Diffraction record for Cu2PbS2. The XRD peak list is calculated, not measured: it uses a PBE-relaxed structure and copper Kα.
Intensities are scaled so that the largest is 100.

abc: 3.9810 7.7959 6.6686
angles: 90.00 115.13 90.00
Positions (direct):
Cu  0.1221  0.1455  0.4568
Cu  0.1221  0.3545  0.9568
Cu  0.8779  0.6455  0.0432
Cu  0.8779  0.8545  0.5432
Pb  0.5000  0.0000  0.0000
Pb  0.5000  0.5000  0.5000
S  0.2136  0.6480  0.8197
S  0.2136  0.8520  0.3197
S  0.7864  0.1480  0.6803
S  0.7864  0.3520  0.1803

The 10 most intense peaks (10° ≤ 2θ ≤ 80°), in order of rising 2θ:
d/Å	I_rel
4.773	36.8
3.898	24.2
3.496	78.7
3.034	31.4
3.019	46.4
2.646	45.7
2.501	71.9
2.394	24.6
2.387	100.0
1.714	20.9

# 5
Diffraction record for TbDySi2. The XRD peak list is calculated, not measured: it uses a PBE-relaxed structure and copper Kα.
Intensities are scaled so that the largest is 100.

abc: 3.8427 5.7146 7.9248
angles: 90.00 90.00 90.00
Positions (direct):
Tb  0.0000  0.1350  0.0000
Tb  0.0000  0.8650  0.5000
Dy  0.5000  0.3650  0.3582
Dy  0.5000  0.6350  0.8582
Si  0.0000  0.3788  0.6411
Si  0.0000  0.6212  0.1411
Si  0.5000  0.1213  0.7170
Si  0.5000  0.8787  0.2170

The 10 most intense peaks (10° ≤ 2θ ≤ 80°), in order of rising 2θ:
d/Å	I_rel
3.256	31.4
3.189	40.4
2.958	100.0
2.759	73.6
2.688	81.2
2.484	41.9
2.398	45.5
2.203	37.8
1.731	40.6
1.563	31.5

# 6
Diffraction record for Zr4InHgC2. The XRD peak list is calculated, not measured: it uses a PBE-relaxed structure and copper Kα.
Intensities are scaled so that the largest is 100.

abc: 3.3629 3.3629 15.0561
angles: 90.00 90.00 120.00
Positions (direct):
Zr  0.0000  0.0000  0.1658
Zr  0.0000  0.0000  0.8342
Zr  0.6667  0.3333  0.3322
Zr  0.6667  0.3333  0.6678
In  0.0000  0.0000  0.5000
Hg  0.6667  0.3333  0.0000
C  0.3333  0.6667  0.2493
C  0.3333  0.6667  0.7507

The 10 most intense peaks (10° ≤ 2θ ≤ 80°), in order of rising 2θ:
d/Å	I_rel
7.528	5.6
2.912	22.7
2.859	5.7
2.716	4.2
2.519	100.0
2.509	20.5
1.901	16.5
1.681	20.1
1.451	18.3
1.398	34.9

# 7
Diffraction record for NdYSi2Os. The XRD peak list is calculated, not measured: it uses a PBE-relaxed structure and copper Kα.
Intensities are scaled so that the largest is 100.

abc: 5.8200 5.8200 10.2088
angles: 116.76 116.76 42.96
Positions (direct):
Nd  0.1900  0.1900  0.1090
Nd  0.8100  0.8100  0.8910
Y  0.0044  0.0044  0.6753
Y  0.9956  0.9956  0.3247
Si  0.3526  0.3526  0.4392
Si  0.4975  0.4975  0.8701
Si  0.5025  0.5025  0.1299
Si  0.6474  0.6474  0.5608
Os  0.2703  0.2703  0.6237
Os  0.7297  0.7297  0.3763

The 10 most intense peaks (10° ≤ 2θ ≤ 80°), in order of rising 2θ:
d/Å	I_rel
5.408	28.9
4.739	47.5
3.272	81.1
2.704	74.9
2.681	100.0
2.627	31.3
2.461	51.9
2.234	32.8
2.225	45.8
2.131	46.7

# 8
Diffraction record for TbGd2Cd3Ag3. The XRD peak list is calculated, not measured: it uses a PBE-relaxed structure and copper Kα.
Intensities are scaled so that the largest is 100.

abc: 3.9252 7.8849 7.8849
angles: 119.97 90.00 90.00
Positions (direct):
Tb  0.0000  0.0000  0.0000
Gd  0.0000  0.4045  0.8089
Gd  0.0000  0.8089  0.4045
Cd  0.5000  0.1416  0.4041
Cd  0.5000  0.4041  0.1416
Cd  0.5000  0.6678  0.6678
Ag  0.0000  0.4042  0.4042
Ag  0.5000  0.0710  0.7386
Ag  0.5000  0.7386  0.0710

The 10 most intense peaks (10° ≤ 2θ ≤ 80°), in order of rising 2θ:
d/Å	I_rel
2.782	78.8
2.578	100.0
2.277	33.8
2.157	17.0
1.963	17.5
1.706	13.1
1.562	14.4
1.486	16.9
1.455	24.8
1.290	13.8

# 9
Diffraction record for Cd13I28. The XRD peak list is calculated, not measured: it uses a PBE-relaxed structure and copper Kα.
Intensities are scaled so that the largest is 100.

abc: 4.2861 4.2861 97.3436
angles: 90.00 90.00 120.00
Positions (direct):
Cd  0.0000  0.0000  0.0000
Cd  0.0000  0.0000  0.0715
Cd  0.0000  0.0000  0.1429
Cd  0.0000  0.0000  0.4285
Cd  0.0000  0.0000  0.5715
Cd  0.0000  0.0000  0.7143
Cd  0.0000  0.0000  0.8571
Cd  0.6667  0.3333  0.2151
Cd  0.6667  0.3333  0.3564
Cd  0.6667  0.3333  0.5000
Cd  0.6667  0.3333  0.6429
Cd  0.6667  0.3333  0.7857
Cd  0.6667  0.3333  0.9285
I  0.0000  0.0000  0.1973
I  0.0000  0.0000  0.3385
I  0.0000  0.0000  0.4823
I  0.0000  0.0000  0.6251
I  0.0000  0.0000  0.7680
I  0.0000  0.0000  0.9108
I  0.3333  0.6667  0.0178
I  0.3333  0.6667  0.0892
I  0.3333  0.6667  0.1607
I  0.3333  0.6667  0.2329
I  0.3333  0.6667  0.2984
I  0.3333  0.6667  0.3742
I  0.3333  0.6667  0.4462
I  0.3333  0.6667  0.5177
I  0.3333  0.6667  0.5892
I  0.3333  0.6667  0.6606
I  0.3333  0.6667  0.7320
I  0.3333  0.6667  0.8035
I  0.3333  0.6667  0.8749
I  0.3333  0.6667  0.9463
I  0.6667  0.3333  0.0537
I  0.6667  0.3333  0.1252
I  0.6667  0.3333  0.2732
I  0.6667  0.3333  0.4107
I  0.6667  0.3333  0.5538
I  0.6667  0.3333  0.6966
I  0.6667  0.3333  0.8394
I  0.6667  0.3333  0.9823

The 10 most intense peaks (10° ≤ 2θ ≤ 80°), in order of rising 2θ:
d/Å	I_rel
6.953	35.6
3.586	14.3
3.274	100.0
2.897	45.9
2.537	18.1
2.226	22.4
2.143	52.3
1.966	21.5
1.793	17.3
1.350	19.5

# 10
Diffraction record for TbYZr2As2. The XRD peak list is calculated, not measured: it uses a PBE-relaxed structure and copper Kα.
Intensities are scaled so that the largest is 100.

abc: 4.0948 4.0948 15.9476
angles: 90.00 90.00 90.00
Positions (direct):
Tb  0.0000  0.0000  0.0000
Tb  0.5000  0.5000  0.5000
Y  0.0000  0.0000  0.3556
Y  0.5000  0.5000  0.8556
Zr  0.0000  0.5000  0.1778
Zr  0.0000  0.5000  0.6778
Zr  0.5000  0.0000  0.1778
Zr  0.5000  0.0000  0.6778
As  0.0000  0.0000  0.5456
As  0.0000  0.0000  0.8100
As  0.5000  0.5000  0.0456
As  0.5000  0.5000  0.3100

The 10 most intense peaks (10° ≤ 2θ ≤ 80°), in order of rising 2θ:
d/Å	I_rel
2.895	21.7
2.722	100.0
2.658	38.0
2.516	47.8
2.343	83.4
2.047	59.2
1.622	33.4
1.588	23.1
1.448	19.0
1.232	20.6